Record 1
Starting from a cell relaxed with GGA-PBE, the X-ray powder pattern of ZnPbN2 was computed for Cu Ka.
No peak broadening, texture or thermal motion is included.

Largest 6 diffraction maxima, by intensity, 2θ = 15–90°:
index	d/Å	two_theta	I/Imax
1 2 1	2.674	33.51	100
2 0 1	2.688	33.34	58
0 0 2	2.851	31.38	49
1 2 0	3.027	29.51	38
3 2 0	1.756	52.09	29
0 1 1	4.415	20.11	29

Atomic structure:
```
data_ZnPbN2
_chemical_formula_sum 'Zn4 Pb4 N8'
_cell_length_a 6.0949
_cell_length_b 6.9761
_cell_length_c 5.7019
_cell_angle_alpha 90.00
_cell_angle_beta 90.00
_cell_angle_gamma 90.00
_symmetry_space_group_name_H-M 'P n a 21'
_symmetry_Int_Tables_number 33
_symmetry_space_group_name_Hall 'P 2c -2n'
loop_
_atom_site_label
_atom_site_fract_x
_atom_site_fract_y
_atom_site_fract_z
_atom_site_occupancy
Zn1 0.0817 0.1254 0.0000 1
Pb1 0.0922 0.6240 0.0007 1
N1 0.0700 0.1136 0.3624 1
N2 0.0928 0.6363 0.3920 1
```

***

Record 2
Starting from a cell relaxed with GGA-PBE, the X-ray powder pattern of Sc2GeB2Ir5 was computed for Cu Ka.
No peak broadening, texture or thermal motion is included.

Largest 6 diffraction maxima, by intensity, 2θ = 15–90°:
index	d/Å	two_theta	I/Imax
3 1 1	2.154	41.95	100
0 0 1	3.170	28.15	83
4 1 0	2.251	40.06	71
3 2 1	1.998	45.38	55
4 2 0	2.075	43.61	47
2 1 1	2.519	35.63	47

Atomic structure:
```
data_Sc2GeB2Ir5
_chemical_formula_sum 'Sc4 Ge2 B4 Ir10'
_cell_length_a 9.2812
_cell_length_b 9.2812
_cell_length_c 3.1704
_cell_angle_alpha 90.00
_cell_angle_beta 90.00
_cell_angle_gamma 90.00
_symmetry_space_group_name_H-M 'P 4/m b m'
_symmetry_Int_Tables_number 127
_symmetry_space_group_name_Hall '-P 4 2ab'
loop_
_atom_site_label
_atom_site_fract_x
_atom_site_fract_y
_atom_site_fract_z
_atom_site_occupancy
Sc1 0.1749 0.3251 0.0000 1
Ge1 0.0000 0.0000 0.0000 1
B1 0.1246 0.6246 0.0000 1
Ir1 0.0000 0.5000 0.5000 1
Ir2 0.0719 0.7847 0.5000 1
```

***

Record 3
Starting from a cell relaxed with GGA-PBE, the X-ray powder pattern of ScO was computed for Cu Ka.
No peak broadening, texture or thermal motion is included.

Largest 6 diffraction maxima, by intensity, 2θ = 15–90°:
index	d/Å	two_theta	I/Imax
2 0 0	2.240	40.26	100
2 2 0	1.584	58.25	57
1 1 1	2.586	34.68	44
3 1 1	1.351	69.60	18
2 2 2	1.293	73.19	17
4 0 0	1.120	87.00	8

Atomic structure:
```
data_ScO
_chemical_formula_sum 'Sc4 O4'
_cell_length_a 4.4798
_cell_length_b 4.4798
_cell_length_c 4.4798
_cell_angle_alpha 90.00
_cell_angle_beta 90.00
_cell_angle_gamma 90.00
_symmetry_space_group_name_H-M 'F m -3 m'
_symmetry_Int_Tables_number 225
_symmetry_space_group_name_Hall '-F 4 2 3'
loop_
_atom_site_label
_atom_site_fract_x
_atom_site_fract_y
_atom_site_fract_z
_atom_site_occupancy
Sc1 0.0000 0.0000 0.0000 1
O1 0.0000 0.0000 0.5000 1
```

***

Record 4
Starting from a cell relaxed with GGA-PBE, the X-ray powder pattern of Th3Bi4 was computed for Cu Ka.
No peak broadening, texture or thermal motion is included.

Largest 6 diffraction maxima, by intensity, 2θ = 15–90°:
index	d/Å	two_theta	I/Imax
3 1 0	3.059	29.19	100
3 2 1	2.585	34.70	81
6 1 1	1.569	58.85	31
4 2 2	1.975	45.96	19
5 4 1	1.493	62.19	18
4 2 0	2.163	41.76	16

Atomic structure:
```
data_Th3Bi4
_chemical_formula_sum 'Th12 Bi16'
_cell_length_a 9.6737
_cell_length_b 9.6737
_cell_length_c 9.6737
_cell_angle_alpha 90.00
_cell_angle_beta 90.00
_cell_angle_gamma 90.00
_symmetry_space_group_name_H-M 'I -4 3 d'
_symmetry_Int_Tables_number 220
_symmetry_space_group_name_Hall 'I -4bd 2c 3'
loop_
_atom_site_label
_atom_site_fract_x
_atom_site_fract_y
_atom_site_fract_z
_atom_site_occupancy
Th1 0.0000 0.2500 0.3750 1
Bi1 0.0797 0.0797 0.0797 1
```

***

Record 5
Starting from a cell relaxed with GGA-PBE, the X-ray powder pattern of Sn9O4F10 was computed for Cu Ka.
No peak broadening, texture or thermal motion is included.

Largest 6 diffraction maxima, by intensity, 2θ = 15–90°:
index	d/Å	two_theta	I/Imax
2 1 2	2.984	29.94	100
1 3 0	3.400	26.21	63
3 2 1	2.776	32.24	50
4 2 0	2.405	37.39	48
3 0 1	3.242	27.51	36
2 1 4	1.769	51.66	32

Atomic structure:
```
data_Sn9O4F10
_chemical_formula_sum 'Sn18 O8 F20'
_cell_length_a 10.7503
_cell_length_b 10.7503
_cell_length_c 7.6129
_cell_angle_alpha 90.00
_cell_angle_beta 90.00
_cell_angle_gamma 90.00
_symmetry_space_group_name_H-M 'P 4/n'
_symmetry_Int_Tables_number 85
loop_
_symmetry_equiv_pos_as_xyz
'x,y,z'
'-x,-y,-z'
'-y+1/2,x,z'
'y+1/2,-x,-z'
'-x+1/2,-y+1/2,z'
'x+1/2,y+1/2,-z'
'y,-x+1/2,z'
'-y,x+1/2,-z'
loop_
_atom_site_label
_atom_site_fract_x
_atom_site_fract_y
_atom_site_fract_z
_atom_site_occupancy
Sn1 0.0075 0.6365 0.1665 1
Sn2 0.1025 0.6795 0.6631 1
Sn3 0.2500 0.2500 0.1927 1
O1 0.1311 0.6953 0.3722 1
F1 0.0354 0.1278 0.1570 1
F2 0.0587 0.1120 0.6389 1
F3 0.2500 0.2500 0.9258 1
F4 0.2500 0.7500 0.0000 1
```

***

Record 6
Starting from a cell relaxed with GGA-PBE, the X-ray powder pattern of TeMoWSeS2 was computed for Cu Ka.
No peak broadening, texture or thermal motion is included.

Largest 6 diffraction maxima, by intensity, 2θ = 15–90°:
index	d/Å	two_theta	I/Imax
1 0 8	2.446	36.75	100
0 1 13	2.035	44.52	51
1 0 0	2.863	31.25	48
1 1 0	1.653	55.60	31
1 0 14	1.959	46.35	19
1 0 10	2.278	39.56	17

Atomic structure:
```
data_TeMoWSeS2
_chemical_formula_sum 'Te2 Mo2 W2 Se2 S4'
_cell_length_a 3.3066
_cell_length_b 3.3066
_cell_length_c 37.6056
_cell_angle_alpha 90.00
_cell_angle_beta 90.00
_cell_angle_gamma 120.00
_symmetry_space_group_name_H-M 'P 3 m 1'
_symmetry_Int_Tables_number 156
_symmetry_space_group_name_Hall 'P 3 -2"'
loop_
_atom_site_label
_atom_site_fract_x
_atom_site_fract_y
_atom_site_fract_z
_atom_site_occupancy
Te1 0.0000 0.0000 0.0000 1
Te2 0.0000 0.0000 0.1016 1
Mo1 0.0000 0.0000 0.2387 1
Mo2 0.6667 0.3333 0.0508 1
W1 0.0000 0.0000 0.6144 1
W2 0.6667 0.3333 0.4265 1
Se1 0.0000 0.0000 0.3817 1
Se2 0.0000 0.0000 0.4714 1
S1 0.6667 0.3333 0.1981 1
S2 0.6667 0.3333 0.2793 1
S3 0.6667 0.3333 0.5737 1
S4 0.6667 0.3333 0.6552 1
```